1.
Starting from a GGA+U-relaxed structure, the X-ray powder pattern of Ba4Ta10FeO30 was computed for Cu Kα (weighted mean of Kα1 and Kα2).
Lines closer than 0.1° are merged.

The 8 most intense peaks (10 to 90 degrees two-theta), sorted by position:
index, d/Å, Position (°2θ), I (rel.)
2 0 0, 3.961, 22.44, 65
0 3 1, 3.370, 26.45, 100
2 2 0, 3.147, 28.36, 53
0 2 4, 3.071, 29.08, 91
2 1 3, 2.991, 29.87, 93
2 3 1, 2.567, 34.96, 47
4 0 0, 1.981, 45.82, 59
0 6 0, 1.727, 53.01, 60

Crystal structure
```
data_Ba4Ta10FeO30
_symmetry_space_group_name_H-M 'I m m 2'
_symmetry_Int_Tables_number 44
_symmetry_space_group_name_Hall 'I 2 -2'
_cell_length_a 7.9226
_cell_length_b 10.3648
_cell_length_c 15.2474
_cell_angle_alpha 90.00
_cell_angle_beta 90.00
_cell_angle_gamma 90.00
loop_
_atom_site_label
_atom_site_fract_x
_atom_site_fract_y
_atom_site_fract_z
_atom_site_occupancy
Ba1 0.0000 0.0000 0.0000 1
Ba2 0.0000 0.0000 0.3988 1
Ba3 0.0000 0.5000 0.4979 1
Ba4 0.0000 0.5000 0.9085 1
Ta1 0.2473 0.1845 0.5738 1
Ta2 0.2497 0.0000 0.2025 1
Ta3 0.2496 0.1828 0.8267 1
Fe1 0.0000 0.5000 0.1823 1
O1 0.0000 0.0000 0.2063 1
O2 0.0000 0.1791 0.8281 1
O3 0.0000 0.1877 0.5798 1
O4 0.0000 0.3233 0.3463 1
O5 0.0000 0.3505 0.0709 1
O6 0.0000 0.5000 0.6997 1
O7 0.2159 0.3649 0.2040 1
O8 0.2280 0.0000 0.5328 1
O9 0.2405 0.2523 0.9543 1
O10 0.2408 0.1308 0.1079 1
O11 0.2454 0.0000 0.8744 1
O12 0.2500 0.1307 0.2981 1
```

=====

2.
Starting from a GGA+U-relaxed structure, the X-ray powder pattern of SrV2Co2O8 was computed for Cu Kα (weighted mean of Kα1 and Kα2).
Lines closer than 0.1° are merged.

The 8 most intense peaks (10 to 90 degrees two-theta), sorted by position:
index, d/Å, Position (°2θ), I (rel.)
2 0 2, 3.513, 25.35, 46
3 1 2, 2.890, 30.94, 100
4 1 1, 2.846, 31.43, 78
4 2 0, 2.784, 32.15, 59
2 1 3, 2.528, 35.52, 40
5 2 1, 2.231, 40.42, 32
5 3 2, 1.909, 47.65, 35
6 0 4, 1.486, 62.52, 47

Crystal structure
```
data_SrV2Co2O8
_symmetry_space_group_name_H-M 'I 41 c d'
_symmetry_Int_Tables_number 110
_symmetry_space_group_name_Hall 'I 4bw -2c'
_cell_length_a 12.4519
_cell_length_b 12.4519
_cell_length_c 8.5096
_cell_angle_alpha 90.00
_cell_angle_beta 90.00
_cell_angle_gamma 90.00
loop_
_atom_site_label
_atom_site_fract_x
_atom_site_fract_y
_atom_site_fract_z
_atom_site_occupancy
Sr1 0.0000 0.0000 0.0000 1
V1 0.0795 0.2616 0.4148 1
Co1 0.1667 0.1692 0.7833 1
O1 0.0018 0.1723 0.8173 1
O2 0.0039 0.3562 0.0054 1
O3 0.1579 0.1826 0.5445 1
O4 0.1582 0.3320 0.2763 1
```

=====

3.
Starting from a GGA+U-relaxed structure, the X-ray powder pattern of PrWO5 was computed for Cu Kα (weighted mean of Kα1 and Kα2).
Lines closer than 0.1° are merged.

The 8 most intense peaks (10 to 90 degrees two-theta), sorted by position:
index, d/Å, Position (°2θ), I (rel.)
1 1 0, 4.564, 19.45, 100
1 2 -1, 4.049, 21.95, 57
1 1 -2, 3.404, 26.18, 65
1 3 -1, 3.345, 26.65, 88
0 0 2, 3.275, 27.23, 81
0 1 2, 3.185, 28.02, 53
1 2 1, 2.941, 30.39, 81
2 1 -1, 2.638, 33.99, 58

Crystal structure
```
data_PrWO5
_symmetry_space_group_name_H-M 'P 1 21/c 1'
_symmetry_Int_Tables_number 14
_symmetry_space_group_name_Hall '-P 2ybc'
_cell_length_a 5.3991
_cell_length_b 13.2661
_cell_length_c 7.2881
_cell_angle_alpha 90.00
_cell_angle_beta 115.81
_cell_angle_gamma 90.00
loop_
_atom_site_label
_atom_site_fract_x
_atom_site_fract_y
_atom_site_fract_z
_atom_site_occupancy
Pr1 0.1296 0.0580 0.2824 1
W1 0.3809 0.1401 0.8450 1
O1 0.0461 0.0937 0.5817 1
O2 0.1981 0.0705 0.9711 1
O3 0.2784 0.6435 0.4416 1
O4 0.2947 0.2283 0.3018 1
O5 0.4967 0.0682 0.6627 1
```

=====

4.
Starting from a GGA+U-relaxed structure, the X-ray powder pattern of Li4CrFe3O8 was computed for Cu Kα (weighted mean of Kα1 and Kα2).
Lines closer than 0.1° are merged.

The 8 most intense peaks (10 to 90 degrees two-theta), sorted by position:
index, d/Å, Position (°2θ), I (rel.)
0 1 0, 4.890, 18.14, 100
2 0 0, 2.546, 35.26, 43
2 1 0, 2.438, 36.87, 13
1 2 2, 2.113, 42.80, 82
2 2 0, 1.940, 46.84, 14
2 3 0, 1.496, 62.05, 22
3 1 2, 1.492, 62.21, 23
3 2 2, 1.427, 65.38, 15

Crystal structure
```
data_Li4CrFe3O8
_symmetry_space_group_name_H-M 'P -1'
_symmetry_Int_Tables_number 2
_symmetry_space_group_name_Hall '-P 1'
_cell_length_a 5.1722
_cell_length_b 5.1849
_cell_length_c 5.9663
_cell_angle_alpha 73.24
_cell_angle_beta 89.98
_cell_angle_gamma 80.49
loop_
_atom_site_label
_atom_site_fract_x
_atom_site_fract_y
_atom_site_fract_z
_atom_site_occupancy
Li1 0.2479 0.0003 0.3752 1
Li2 0.2493 0.0014 0.8743 1
Cr1 0.0000 0.5000 0.5000 1
Fe1 0.0000 0.5000 0.0000 1
Fe2 0.4997 0.5004 0.2499 1
O1 0.1283 0.7274 0.6923 1
O2 0.1278 0.7284 0.1936 1
O3 0.3689 0.2726 0.5566 1
O4 0.3729 0.2695 0.0580 1
```

=====

5.
Starting from a GGA+U-relaxed structure, the X-ray powder pattern of Ce2WO6 was computed for Cu Kα (weighted mean of Kα1 and Kα2).
Lines closer than 0.1° are merged.

The 8 most intense peaks (10 to 90 degrees two-theta), sorted by position:
index, d/Å, Position (°2θ), I (rel.)
2 2 1, 3.242, 27.51, 100
4 2 -1, 3.090, 28.89, 83
0 4 0, 2.819, 31.74, 18
2 0 -2, 2.764, 32.39, 23
4 0 2, 1.981, 45.79, 18
2 4 -2, 1.974, 45.98, 24
6 4 0, 1.929, 47.12, 23
0 2 3, 1.697, 54.03, 24

Crystal structure
```
data_Ce2WO6
_symmetry_space_group_name_H-M 'C 1 2/c 1'
_symmetry_Int_Tables_number 15
_symmetry_space_group_name_Hall '-C 2yc'
_cell_length_a 16.4732
_cell_length_b 11.2772
_cell_length_c 5.5415
_cell_angle_alpha 90.00
_cell_angle_beta 105.60
_cell_angle_gamma 90.00
loop_
_atom_site_label
_atom_site_fract_x
_atom_site_fract_y
_atom_site_fract_z
_atom_site_occupancy
Ce1 0.0000 0.1178 0.2500 1
Ce2 0.0000 0.3794 0.7500 1
Ce3 0.1741 0.3860 0.3903 1
W1 0.1609 0.1584 0.9213 1
O1 0.0813 0.0426 0.9793 1
O2 0.0841 0.2697 0.0834 1
O3 0.0878 0.4839 0.5779 1
O4 0.0931 0.2200 0.6056 1
O5 0.2428 0.0442 0.8569 1
O6 0.2466 0.2156 0.2257 1
```

=====

6.
Starting from a GGA+U-relaxed structure, the X-ray powder pattern of ZnCrGe2O6 was computed for Cu Kα (weighted mean of Kα1 and Kα2).
Lines closer than 0.1° are merged.

The 8 most intense peaks (10 to 90 degrees two-theta), sorted by position:
index, d/Å, Position (°2θ), I (rel.)
1 2 -1, 3.468, 25.69, 38
2 2 0, 3.313, 26.91, 43
1 2 1, 3.097, 28.83, 100
3 1 0, 3.037, 29.41, 70
2 0 -2, 2.676, 33.48, 69
0 3 1, 2.641, 33.94, 37
3 2 -1, 2.602, 34.47, 41
6 3 -1, 1.465, 63.48, 45

Crystal structure
```
data_ZnCrGe2O6
_symmetry_space_group_name_H-M 'P 1 21/c 1'
_symmetry_Int_Tables_number 14
_symmetry_space_group_name_Hall '-P 2ybc'
_cell_length_a 10.0468
_cell_length_b 9.1041
_cell_length_c 5.5768
_cell_angle_alpha 90.00
_cell_angle_beta 105.87
_cell_angle_gamma 90.00
loop_
_atom_site_label
_atom_site_fract_x
_atom_site_fract_y
_atom_site_fract_z
_atom_site_occupancy
Zn1 0.2443 0.0114 0.4495 1
Cr1 0.2471 0.6569 0.4591 1
Ge1 0.0581 0.1630 0.8142 1
Ge2 0.4543 0.1580 0.2516 1
O1 0.1090 0.1776 0.1572 1
O2 0.1241 0.6641 0.7656 1
O3 0.1448 0.0154 0.7261 1
O4 0.3652 0.6615 0.1621 1
O5 0.3721 0.5121 0.7045 1
O6 0.3813 0.2171 0.4999 1
```

=====

7.
Starting from a GGA+U-relaxed structure, the X-ray powder pattern of P3W2O12 was computed for Cu Kα (weighted mean of Kα1 and Kα2).
Lines closer than 0.1° are merged.

The 8 most intense peaks (10 to 90 degrees two-theta), sorted by position:
index, d/Å, Position (°2θ), I (rel.)
0 1 2, 6.284, 14.09, 37
1 0 4, 4.540, 19.55, 100
1 1 0, 4.353, 20.40, 88
0 2 4, 3.142, 28.41, 56
2 -1 6, 2.859, 31.29, 50
3 -1 4, 2.548, 35.23, 35
3 0 0, 2.513, 35.73, 28
3 -1 10, 1.778, 51.40, 24

Crystal structure
```
data_P3W2O12
_symmetry_space_group_name_H-M 'R -3'
_symmetry_Int_Tables_number 148
_symmetry_space_group_name_Hall '-R 3'
_cell_length_a 8.7054
_cell_length_b 8.7054
_cell_length_c 22.7449
_cell_angle_alpha 90.00
_cell_angle_beta 90.00
_cell_angle_gamma 120.00
loop_
_atom_site_label
_atom_site_fract_x
_atom_site_fract_y
_atom_site_fract_z
_atom_site_occupancy
P1 0.0019 0.7173 0.2501 1
W1 0.0000 0.0000 0.1456 1
W2 0.0000 0.0000 0.3562 1
O1 0.0021 0.1867 0.4069 1
O2 0.0142 0.1968 0.6919 1
O3 0.0638 0.8446 0.9059 1
O4 0.0660 0.8516 0.1996 1
```

=====

8.
Starting from a GGA+U-relaxed structure, the X-ray powder pattern of Li9Mn2Co5O16 was computed for Cu Kα (weighted mean of Kα1 and Kα2).
Lines closer than 0.1° are merged.

The 8 most intense peaks (10 to 90 degrees two-theta), sorted by position:
index, d/Å, Position (°2θ), I (rel.)
2 0 2, 4.857, 18.27, 100
1 1 -3, 2.503, 35.88, 39
1 1 5, 2.088, 43.34, 55
6 0 -2, 2.076, 43.60, 26
3 1 7, 1.614, 57.07, 10
7 1 3, 1.476, 62.99, 15
5 1 -7, 1.469, 63.33, 13
2 2 2, 1.401, 66.75, 9

Crystal structure
```
data_Li9Mn2Co5O16
_symmetry_space_group_name_H-M 'C 1 m 1'
_symmetry_Int_Tables_number 8
_symmetry_space_group_name_Hall 'C -2y'
_cell_length_a 12.8270
_cell_length_b 2.9262
_cell_length_c 15.4379
_cell_angle_alpha 90.00
_cell_angle_beta 91.78
_cell_angle_gamma 90.00
loop_
_atom_site_label
_atom_site_fract_x
_atom_site_fract_y
_atom_site_fract_z
_atom_site_occupancy
Li1 0.0000 0.0000 0.0000 1
Li2 0.0013 0.5000 0.4973 1
Li3 0.1296 0.0000 0.3606 1
Li4 0.1333 0.5000 0.8679 1
Li5 0.1934 0.5000 0.0576 1
Li6 0.2518 0.0000 0.7515 1
Li7 0.2534 0.5000 0.2387 1
Li8 0.3734 0.0000 0.1132 1
Li9 0.3773 0.5000 0.6219 1
Mn1 0.1897 0.0000 0.5561 1
Mn2 0.4428 0.0000 0.3051 1
Co1 0.0622 0.5000 0.6847 1
Co2 0.0789 0.0000 0.1717 1
Co3 0.3089 0.0000 0.9356 1
Co4 0.3166 0.5000 0.4311 1
Co5 0.4366 0.5000 0.8077 1
O1 0.0338 0.5000 0.0933 1
O2 0.0435 0.0000 0.5895 1
O3 0.0855 0.5000 0.2715 1
O4 0.0900 0.0000 0.7732 1
O5 0.1600 0.5000 0.4749 1
O6 0.1773 0.0000 0.9571 1
O7 0.2152 0.5000 0.6387 1
O8 0.2162 0.0000 0.1530 1
O9 0.2882 0.5000 0.8408 1
O10 0.2973 0.0000 0.3405 1
O11 0.3348 0.0000 0.5254 1
O12 0.3448 0.5000 0.0157 1
O13 0.4110 0.0000 0.7184 1
O14 0.4156 0.5000 0.2246 1
O15 0.4548 0.0000 0.8964 1
O16 0.4728 0.5000 0.3884 1
```

=====

- Which formula does entry 7 have?
  P3W2O12